Structure and theoretical XRD peak list of Er2Se3 (a structure optimized by DFT (GGA-PBE); Cu Kα (λ = 1.5418 Å)).
Peak positions follow from Bragg's law for the DFT cell and can differ from measured ones.

Peak list (8 most intense, 10° ≤ 2θ ≤ 90°, in order of rising 2θ)
| d [Å] | Position (°2θ) | I (rel.) |
| --- | --- | --- |
| 6.424 | 13.79 | 48 |
| 2.881 | 31.04 | 100 |
| 2.865 | 31.22 | 50 |
| 2.046 | 44.28 | 19 |
| 2.031 | 44.62 | 91 |
| 1.665 | 55.17 | 21 |
| 1.656 | 55.50 | 19 |
| 1.287 | 73.60 | 16 |

Cell and atoms:
a b c (Å): 13.453 12.841 7.041
angles (deg): 79.33 69.72 30.95
Fractional coordinates of all 20 atoms:
Er (0.041, 0.041, 0.209)
Er (0.128, 0.128, 0.622)
Er (0.209, 0.209, 0.041)
Er (0.378, 0.378, 0.872)
Er (0.622, 0.622, 0.128)
Er (0.791, 0.791, 0.959)
Er (0.872, 0.872, 0.378)
Er (0.959, 0.959, 0.791)
Se (0.049, 0.539, 0.195)
Se (0.117, 0.633, 0.633)
Se (0.195, 0.717, 0.049)
Se (0.283, 0.805, 0.461)
Se (0.367, 0.883, 0.883)
Se (0.461, 0.951, 0.283)
Se (0.539, 0.049, 0.717)
Se (0.633, 0.117, 0.117)
Se (0.717, 0.195, 0.539)
Se (0.805, 0.283, 0.951)
Se (0.883, 0.367, 0.367)
Se (0.951, 0.461, 0.805)